Structure and theoretical powder diffractogram of Rb2BrCl7 (a GGA-PBE-relaxed structure; a wavelength of 1.5418 Å).
No peak broadening, texture or thermal motion is included.

Crystal structure
```
Rb2BrCl7
1.0
-3.8896 3.8896 5.5775
3.8896 -3.8896 5.5775
3.8896 3.8896 -5.5775
Rb Br Cl
2 1 7
direct
0.2500 0.7500 0.5000
0.7500 0.2500 0.5000
0.0000 0.0000 0.0000
0.2193 0.2193 0.4387
0.2193 0.7807 0.0000
0.2938 0.2938 0.0000
0.5000 0.5000 0.0000
0.7062 0.7062 0.0000
0.7807 0.2193 0.0000
0.7807 0.7807 0.5613
```

Main lines, by angle (2θ from 5° to 70°):
- 2θ 22.70, I 100
- 2θ 22.86, I 47
- 2θ 26.57, I 20
- 2θ 27.97, I 69
- 2θ 32.10, I 41
- 2θ 32.56, I 85
- 2θ 40.06, I 37
- 2θ 46.37, I 50
- 2θ 46.71, I 26
- 2θ 51.92, I 17
- 2θ 52.58, I 26
- 2θ 57.80, I 23